# 1
Structure and theoretical X-ray powder pattern of CdCo2O4 (DFT lattice parameters and positions (GGA+U); Cu Kα X-rays).
No peak broadening, texture or thermal motion is included.

Structure:
```
CdCo2O4
1.0
-3.042 3.042 4.375
3.042 -3.042 4.375
3.042 3.042 -4.375
Cd Co O
2 4 8
Direct
0.375 0.625 0.750
0.625 0.375 0.250
0.000 0.000 0.000
0.000 0.000 0.500
0.000 0.500 0.000
0.500 0.000 0.500
0.197 0.230 0.967
0.230 0.197 0.467
0.230 0.762 0.033
0.238 0.770 0.467
0.762 0.230 0.533
0.770 0.238 0.967
0.770 0.803 0.533
0.803 0.770 0.033
```

Peak list (10 most intense, 10 to 90 degrees two-theta, in order of rising 2θ)
2theta  I_rel
29.11  56.0
29.36  27.0
34.09  49.3
34.53  100.0
51.92  19.1
54.57  17.5
55.46  32.3
60.36  36.9
60.92  18.2
71.69  10.8

***

# 2
Structure and theoretical X-ray powder pattern of CdCoP2O7 (DFT lattice parameters and positions (GGA+U); Cu Kα X-rays).
No peak broadening, texture or thermal motion is included.

Structure:
```
CdCoP2O7
1.0
4.520 0.000 0.000
-0.661 5.347 0.000
-0.658 -1.408 5.173
Cd Co P O
1 1 2 7
Direct
0.000 0.000 0.000
0.997 0.612 0.388
0.412 0.508 0.922
0.585 0.079 0.495
0.211 0.409 0.099
0.249 0.646 0.746
0.286 0.929 0.336
0.499 0.242 0.760
0.710 0.667 0.073
0.749 0.256 0.357
0.784 0.901 0.593
```

Peak list (10 most intense, 10 to 90 degrees two-theta, in order of rising 2θ)
2theta  I_rel
17.16  32.3
20.05  28.0
28.54  41.4
29.10  100.0
30.71  67.0
34.50  27.2
34.73  37.5
37.43  17.3
41.66  30.7
49.82  18.2

***

# 3
Structure and theoretical X-ray powder pattern of CdCoSeO (DFT lattice parameters and positions (GGA+U); Cu Kα X-rays).
No peak broadening, texture or thermal motion is included.

Structure:
```
CdCoSeO
1.0
1.883 -6.564 0.000
1.883 6.564 0.000
0.000 0.000 5.819
Cd Co Se O
2 2 2 2
Direct
0.164 0.836 0.500
0.836 0.164 0.000
0.444 0.556 0.592
0.556 0.444 0.092
0.166 0.834 0.967
0.834 0.166 0.467
0.430 0.570 0.927
0.570 0.430 0.427
```

Peak list (10 most intense, 10 to 90 degrees two-theta, in order of rising 2θ)
2theta  I_rel
27.17  11.6
29.05  10.9
30.73  44.2
31.33  100.0
39.75  12.6
44.46  51.1
48.33  17.8
52.32  11.5
54.67  9.6
58.37  13.3

***

# 4
Structure and theoretical X-ray powder pattern of CdCoSeO (DFT lattice parameters and positions (GGA+U); Cu Kα X-rays).
No peak broadening, texture or thermal motion is included.

Structure:
```
CdCoSeO
1.0
1.729 -6.663 0.000
1.729 6.663 0.000
0.000 0.000 6.228
Cd Co Se O
2 2 2 2
Direct
0.058 0.942 0.500
0.942 0.058 0.000
0.330 0.670 0.408
0.670 0.330 0.908
0.314 0.686 0.811
0.686 0.314 0.311
0.090 0.910 0.848
0.910 0.090 0.348
```

Peak list (10 most intense, 10 to 90 degrees two-theta, in order of rising 2θ)
2theta  I_rel
28.67  46.0
30.31  35.8
30.43  64.4
31.72  49.4
32.82  100.0
35.93  45.1
39.53  50.8
42.83  31.7
44.12  29.2
51.86  59.4

***

Which formula does entry 3 have?
CdCoSeO